No. 1
Simulated XRD peak list
Compound: NdDy2Cd3Ag3
Radiation: Cu Kα (λ = 1.5418 Å)
Structure: the PBE geometry in OQMD

Atomic structure:
Unit cell a=3.9479 b=7.9103 c=7.9103 alpha=120.25 beta=90.00 gamma=90.00
Sites, in units of the cell vectors:
Nd (0.0000, 0.0000, 0.0000)
Dy (0.0000, 0.1900, 0.5949)
Dy (0.0000, 0.5949, 0.1900)
Cd (0.5000, 0.3354, 0.3354)
Cd (0.5000, 0.5924, 0.8566)
Cd (0.5000, 0.8566, 0.5924)
Ag (0.0000, 0.5930, 0.5930)
Ag (0.5000, 0.2661, 0.9271)
Ag (0.5000, 0.9271, 0.2661)

The 10 most intense peaks (2θ = 10–90°), sorted by position:
- 2θ = 32.1°, d = 2.792 Å, I 100
- 2θ = 34.6°, d = 2.589 Å, I 57
- 2θ = 34.7°, d = 2.583 Å, I 72
- 2θ = 39.4°, d = 2.286 Å, I 14
- 2θ = 39.6°, d = 2.278 Å, I 28
- 2θ = 41.7°, d = 2.165 Å, I 15
- 2θ = 46.0°, d = 1.974 Å, I 24
- 2θ = 58.8°, d = 1.570 Å, I 14
- 2θ = 62.2°, d = 1.492 Å, I 15
- 2θ = 63.7°, d = 1.460 Å, I 22

***

No. 2
Simulated XRD peak list
Compound: NbMoBr6Cl4
Radiation: Cu Kα (λ = 1.5418 Å)
Structure: the PBE geometry in OQMD

Atomic structure:
Unit cell a=6.5053 b=7.0450 c=9.7744 alpha=108.34 beta=91.83 gamma=114.19
Sites, in units of the cell vectors:
Nb (0.0000, 0.0000, 0.0000)
Mo (0.2061, 0.4284, 0.4334)
Br (0.0336, 0.4033, 0.6479)
Br (0.1844, 0.0380, 0.7897)
Br (0.3497, 0.4025, 0.1767)
Br (0.5395, 0.7844, 0.5542)
Br (0.6606, 0.6437, 0.8876)
Br (0.8612, 0.0344, 0.2654)
Cl (0.2186, 0.8460, 0.0741)
Cl (0.3947, 0.2235, 0.4552)
Cl (0.8108, 0.2121, 0.9801)
Cl (0.9935, 0.5825, 0.3629)

The 10 most intense peaks (2θ = 10–90°), sorted by position:
- 2θ = 14.5°, d = 6.121 Å, I 82
- 2θ = 15.8°, d = 5.598 Å, I 99
- 2θ = 17.2°, d = 5.145 Å, I 90
- 2θ = 29.2°, d = 3.061 Å, I 44
- 2θ = 30.3°, d = 2.953 Å, I 100
- 2θ = 30.5°, d = 2.927 Å, I 99
- 2θ = 31.2°, d = 2.868 Å, I 54
- 2θ = 31.9°, d = 2.802 Å, I 84
- 2θ = 39.7°, d = 2.269 Å, I 44
- 2θ = 48.2°, d = 1.888 Å, I 43